# 1
Diffraction record for TbTc3P2. The powder diffractogram is simulated, not measured: it uses the PBE geometry in Alexandria and Cu Kα (weighted mean of Kα1 and Kα2).
Lines closer than 0.1° are merged.

Crystal structure
```
data_TbTc3P2
_chemical_formula_sum 'Tb6 Tc18 P12'
_cell_length_a 15.708
_cell_length_b 4.046
_cell_length_c 9.451
_cell_angle_alpha 90.00
_cell_angle_beta 105.83
_cell_angle_gamma 90.00
_space_group_name_H-M_alt 'C 1 2/m 1'
_space_group_IT_number 12
loop_
_space_group_symop_operation_xyz
'x,y,z'
'-x,-y,-z'
'-x,y,-z'
'x,-y,z'
'x+1/2,y+1/2,z'
'-x+1/2,-y+1/2,-z'
'-x+1/2,y+1/2,-z'
'x+1/2,-y+1/2,z'
loop_
_atom_site_label
_atom_site_type_symbol
_atom_site_fract_x
_atom_site_fract_y
_atom_site_fract_z
Tb1 Tb 0.000 0.000 0.000
Tb2 Tb 0.162 0.000 0.711
Tc1 Tc 0.000 0.500 0.500
Tc2 Tc 0.036 0.000 0.361
Tc3 Tc 0.118 0.500 0.203
Tc4 Tc 0.179 0.500 0.980
Tc5 Tc 0.208 0.000 0.389
P1 P 0.040 0.500 0.791
P2 P 0.147 0.500 0.464
P3 P 0.199 0.000 0.133
```

Main lines, by angle (10° ≤ 2θ ≤ 80°):
| index | 2theta | Rel. int. |
| --- | --- | --- |
| 3 1 1 | 31.6 | 473 |
| 4 0 2 | 34.8 | 138 |
| 6 0 0 | 35.7 | 219 |
| 1 1 -3 | 36.2 | 1000 |
| 5 1 0 | 37.1 | 139 |
| 3 1 2 | 37.4 | 154 |
| 5 1 -2 | 38.1 | 246 |
| 6 0 -3 | 39.8 | 152 |
| 5 1 1 | 40.6 | 184 |
| 0 2 0 | 44.8 | 400 |
| 7 1 -1 | 46.3 | 127 |
| 1 3 -3 | 76.9 | 113 |

=====

# 2
Diffraction record for TbThTeP. The powder diffractogram is simulated, not measured: it uses the PBE geometry in Alexandria and Cu Kα (weighted mean of Kα1 and Kα2).
Lines closer than 0.1° are merged.

Crystal structure
```
data_TbThTeP
_chemical_formula_sum 'Tb3 Th3 Te3 P3'
_cell_length_a 4.1373
_cell_length_b 4.1373
_cell_length_c 22.1826
_cell_angle_alpha 90.00
_cell_angle_beta 90.00
_cell_angle_gamma 120.00
_space_group_name_H-M_alt 'R 3 m'
_space_group_IT_number 160
_space_group_name_Hall 'R 3 -2"'
loop_
_atom_site_label
_atom_site_type_symbol
_atom_site_fract_x
_atom_site_fract_y
_atom_site_fract_z
Tb1 Tb 0.0000 0.0000 0.0000
Th1 Th 0.0000 0.0000 0.8036
Te1 Te 0.0000 0.0000 0.2370
P1 P 0.0000 0.0000 0.4006
```

Main lines, by angle (10° ≤ 2θ ≤ 80°):
| index | 2theta | Rel. int. |
| --- | --- | --- |
| 1 0 1 | 25.2 | 407 |
| 0 1 2 | 26.1 | 283 |
| 1 0 4 | 29.7 | 609 |
| 0 1 5 | 32.1 | 1000 |
| 0 0 9 | 36.5 | 149 |
| 1 0 7 | 37.9 | 244 |
| 1 1 0 | 43.8 | 532 |
| 1 0 10 | 48.3 | 174 |
| 0 2 4 | 53.8 | 119 |
| 2 0 5 | 55.3 | 216 |
| 1 1 9 | 58.2 | 236 |
| 1 2 5 | 73.1 | 190 |

=====

# 3
Diffraction record for TbTmTeP. The powder diffractogram is simulated, not measured: it uses the PBE geometry in Alexandria and Cu Kα (weighted mean of Kα1 and Kα2).
Lines closer than 0.1° are merged.

Crystal structure
```
data_TbTmTeP
_chemical_formula_sum 'Tb3 Tm3 Te3 P3'
_cell_length_a 4.0509
_cell_length_b 4.0509
_cell_length_c 21.6436
_cell_angle_alpha 90.00
_cell_angle_beta 90.00
_cell_angle_gamma 120.00
_space_group_name_H-M_alt 'R 3 m'
_space_group_IT_number 160
_space_group_name_Hall 'R 3 -2"'
loop_
_atom_site_label
_atom_site_type_symbol
_atom_site_fract_x
_atom_site_fract_y
_atom_site_fract_z
Tb1 Tb 0.0000 0.0000 0.0000
Tm1 Tm 0.0000 0.0000 0.1943
Te1 Te 0.0000 0.0000 0.4314
P1 P 0.0000 0.0000 0.5973
```

Main lines, by angle (10° ≤ 2θ ≤ 80°):
| index | 2theta | Rel. int. |
| --- | --- | --- |
| 1 0 1 | 25.7 | 432 |
| 0 1 2 | 26.7 | 155 |
| 1 0 4 | 30.4 | 621 |
| 0 1 5 | 32.9 | 1000 |
| 0 0 9 | 37.4 | 134 |
| 1 0 7 | 38.8 | 223 |
| 1 1 0 | 44.7 | 534 |
| 1 0 10 | 49.5 | 156 |
| 2 0 5 | 56.6 | 211 |
| 1 1 9 | 59.7 | 208 |
| 1 1 12 | 69.8 | 124 |
| 1 2 5 | 74.9 | 184 |

=====

# 4
Diffraction record for Tb4ThP5. The powder diffractogram is simulated, not measured: it uses the PBE geometry in Alexandria and Cu Kα (weighted mean of Kα1 and Kα2).
Lines closer than 0.1° are merged.

Crystal structure
```
data_Tb4ThP5
_chemical_formula_sum 'Tb8 Th2 P10'
_cell_length_a 4.059
_cell_length_b 5.737
_cell_length_c 20.250
_cell_angle_alpha 90.00
_cell_angle_beta 90.00
_cell_angle_gamma 90.00
_space_group_name_H-M_alt 'I m m m'
_space_group_IT_number 71
_space_group_name_Hall '-I 2 2'
loop_
_atom_site_label
_atom_site_type_symbol
_atom_site_fract_x
_atom_site_fract_y
_atom_site_fract_z
Tb1 Tb 0.000 0.000 0.102
Tb2 Tb 0.000 0.000 0.298
Th1 Th 0.000 0.000 0.500
P1 P 0.000 0.500 0.102
P2 P 0.000 0.500 0.300
P3 P 0.000 0.500 0.500
```

Main lines, by angle (10° ≤ 2θ ≤ 80°):
| index | 2theta | Rel. int. |
| --- | --- | --- |
| 0 1 3 | 20.3 | 13 |
| 1 1 0 | 26.9 | 913 |
| 0 2 0 | 31.2 | 1000 |
| 2 0 0 | 44.7 | 614 |
| 0 0 10 | 44.8 | 121 |
| 1 3 0 | 53.0 | 449 |
| 2 2 0 | 55.5 | 258 |
| 0 4 0 | 65.1 | 120 |
| 3 1 0 | 71.7 | 152 |
| 0 1 15 | 71.8 | 29 |
| 3 0 5 | 73.9 | 277 |
| 1 0 15 | 74.0 | 54 |

=====

# 5
Diffraction record for TbTh5P6. The powder diffractogram is simulated, not measured: it uses the PBE geometry in Alexandria and Cu Kα (weighted mean of Kα1 and Kα2).
Lines closer than 0.1° are merged.

Crystal structure
```
data_TbTh5P6
_chemical_formula_sum 'Tb2 Th10 P12'
_cell_length_a 7.143
_cell_length_b 12.376
_cell_length_c 7.145
_cell_angle_alpha 90.00
_cell_angle_beta 109.50
_cell_angle_gamma 90.00
_space_group_name_H-M_alt 'C 1 2/m 1'
_space_group_IT_number 12
loop_
_space_group_symop_operation_xyz
'x,y,z'
'-x,-y,-z'
'-x,y,-z'
'x,-y,z'
'x+1/2,y+1/2,z'
'-x+1/2,-y+1/2,-z'
'-x+1/2,y+1/2,-z'
'x+1/2,-y+1/2,z'
loop_
_atom_site_label
_atom_site_type_symbol
_atom_site_fract_x
_atom_site_fract_y
_atom_site_fract_z
Tb1 Tb 0.000 0.000 0.000
Th1 Th 0.000 0.167 0.500
Th2 Th 0.000 0.334 0.000
Th3 Th 0.000 0.500 0.500
P1 P 0.247 0.000 0.752
P2 P 0.247 0.165 0.248
```

Main lines, by angle (10° ≤ 2θ ≤ 80°):
| index | 2theta | Rel. int. |
| --- | --- | --- |
| 1 1 0 | 15.0 | 6 |
| 2 0 0 | 26.5 | 1000 |
| 1 3 1 | 30.7 | 952 |
| 2 0 2 | 43.9 | 715 |
| 3 3 1 | 52.0 | 509 |
| 4 0 0 | 54.5 | 254 |
| 2 6 2 | 63.8 | 119 |
| 4 0 2 | 70.4 | 211 |
| 4 6 0 | 72.5 | 331 |

=====

# 6
Diffraction record for Tb5Tm3P8. The powder diffractogram is simulated, not measured: it uses the PBE geometry in Alexandria and Cu Kα (weighted mean of Kα1 and Kα2).
Lines closer than 0.1° are merged.

Crystal structure
```
data_Tb5Tm3P8
_chemical_formula_sum 'Tb15 Tm9 P24'
_cell_length_a 7.9959
_cell_length_b 7.9959
_cell_length_c 19.5818
_cell_angle_alpha 90.00
_cell_angle_beta 90.00
_cell_angle_gamma 120.00
_space_group_name_H-M_alt 'R -3 m'
_space_group_IT_number 166
_space_group_name_Hall '-R 3 2"'
loop_
_atom_site_label
_atom_site_type_symbol
_atom_site_fract_x
_atom_site_fract_y
_atom_site_fract_z
Tb1 Tb 0.0000 0.0000 0.0000
Tb2 Tb 0.0000 0.0000 0.5000
Tb3 Tb 0.0000 0.5000 0.0000
Tm1 Tm 0.0000 0.5000 0.5000
P1 P 0.0000 0.0000 0.2483
P2 P 0.0022 0.5011 0.7511
```

Main lines, by angle (10° ≤ 2θ ≤ 80°):
| index | 2theta | Rel. int. |
| --- | --- | --- |
| 2 0 2 | 27.3 | 879 |
| 0 2 4 | 31.7 | 1000 |
| 2 2 0 | 45.4 | 730 |
| 2 2 6 | 53.8 | 428 |
| 4 0 4 | 56.4 | 255 |
| 0 4 8 | 66.1 | 118 |
| 4 0 10 | 72.9 | 173 |
| 2 4 4 | 75.2 | 328 |

=====

# 7
Diffraction record for TbTmP2. The powder diffractogram is simulated, not measured: it uses the PBE geometry in Alexandria and Cu Kα (weighted mean of Kα1 and Kα2).
Lines closer than 0.1° are merged.

Crystal structure
```
data_TbTmP2
_chemical_formula_sum 'Tb3 Tm3 P6'
_cell_length_a 3.9471
_cell_length_b 3.9471
_cell_length_c 20.3606
_cell_angle_alpha 90.00
_cell_angle_beta 90.00
_cell_angle_gamma 120.00
_space_group_name_H-M_alt 'R 3 m'
_space_group_IT_number 160
_space_group_name_Hall 'R 3 -2"'
loop_
_atom_site_label
_atom_site_type_symbol
_atom_site_fract_x
_atom_site_fract_y
_atom_site_fract_z
Tb1 Tb 0.0000 0.0000 0.0000
Tm1 Tm 0.0000 0.0000 0.8286
P1 P 0.0000 0.0000 0.2450
P2 P 0.0000 0.0000 0.4170
```

Main lines, by angle (10° ≤ 2θ ≤ 80°):
| index | 2theta | Rel. int. |
| --- | --- | --- |
| 0 0 6 | 26.3 | 381 |
| 1 0 1 | 26.4 | 900 |
| 0 1 2 | 27.5 | 449 |
| 1 0 4 | 31.5 | 282 |
| 0 1 5 | 34.2 | 1000 |
| 1 0 7 | 40.7 | 498 |
| 1 1 0 | 46.0 | 554 |
| 1 1 6 | 53.8 | 471 |
| 2 0 5 | 58.6 | 212 |
| 0 2 7 | 63.1 | 136 |
| 1 1 12 | 73.6 | 265 |
| 1 2 5 | 77.5 | 188 |

=====

# 8
Diffraction record for TbTm4P5. The powder diffractogram is simulated, not measured: it uses the PBE geometry in Alexandria and Cu Kα (weighted mean of Kα1 and Kα2).
Lines closer than 0.1° are merged.

Crystal structure
```
data_TbTm4P5
_chemical_formula_sum 'Tb2 Tm8 P10'
_cell_length_a 8.866
_cell_length_b 8.866
_cell_length_c 5.609
_cell_angle_alpha 90.00
_cell_angle_beta 90.00
_cell_angle_gamma 90.00
_space_group_name_H-M_alt 'I 4/m'
_space_group_IT_number 87
_space_group_name_Hall '-I 4'
loop_
_atom_site_label
_atom_site_type_symbol
_atom_site_fract_x
_atom_site_fract_y
_atom_site_fract_z
Tb1 Tb 0.000 0.000 0.000
Tm1 Tm 0.101 0.300 0.500
P1 P 0.000 0.000 0.500
P2 P 0.101 0.303 0.000
```

Main lines, by angle (10° ≤ 2θ ≤ 80°):
| index | 2theta | Rel. int. |
| --- | --- | --- |
| 2 1 1 | 27.6 | 900 |
| 1 3 0 | 31.9 | 1000 |
| 4 2 0 | 45.8 | 730 |
| 5 0 1 | 54.3 | 437 |
| 4 2 2 | 56.9 | 255 |
| 2 6 0 | 66.7 | 118 |
| 6 3 1 | 73.6 | 176 |
| 7 1 0 | 75.9 | 329 |

=====

# 9
Diffraction record for Tb2YUP4. The powder diffractogram is simulated, not measured: it uses the PBE geometry in Alexandria and Cu Kα (weighted mean of Kα1 and Kα2).
Lines closer than 0.1° are merged.

Crystal structure
```
data_Tb2YUP4
_chemical_formula_sum 'Tb2 Y1 U1 P4'
_cell_length_a 6.916
_cell_length_b 3.985
_cell_length_c 6.920
_cell_angle_alpha 90.00
_cell_angle_beta 109.22
_cell_angle_gamma 90.00
_space_group_name_H-M_alt 'P 1 2/m 1'
_space_group_IT_number 10
loop_
_space_group_symop_operation_xyz
'x,y,z'
'-x,-y,-z'
'-x,y,-z'
'x,-y,z'
loop_
_atom_site_label
_atom_site_type_symbol
_atom_site_fract_x
_atom_site_fract_y
_atom_site_fract_z
Tb1 Tb 0.000 0.000 0.000
Tb2 Tb 0.500 0.500 0.000
Y1 Y 0.000 0.500 0.500
U1 U 0.500 0.000 0.500
P1 P 0.255 0.000 0.745
P2 P 0.256 0.500 0.256
```

Main lines, by angle (10° ≤ 2θ ≤ 80°):
| index | 2theta | Rel. int. |
| --- | --- | --- |
| 2 0 0 | 27.3 | 435 |
| 1 1 -1 | 27.4 | 430 |
| 1 1 1 | 31.7 | 1000 |
| 2 0 2 | 45.3 | 123 |
| 0 2 0 | 45.5 | 607 |
| 3 1 1 | 53.7 | 142 |
| 4 0 -2 | 53.9 | 282 |
| 4 0 0 | 56.3 | 128 |
| 2 2 -2 | 56.6 | 127 |
| 4 2 -2 | 73.2 | 86 |
| 4 2 0 | 75.2 | 111 |
| 1 3 1 | 75.4 | 165 |

=====

# 10
Diffraction record for TbZrU2P4. The powder diffractogram is simulated, not measured: it uses the PBE geometry in Alexandria and Cu Kα (weighted mean of Kα1 and Kα2).
Lines closer than 0.1° are merged.

Crystal structure
```
data_TbZrU2P4
_chemical_formula_sum 'Tb1 Zr1 U2 P4'
_cell_length_a 6.733
_cell_length_b 3.883
_cell_length_c 6.813
_cell_angle_alpha 90.00
_cell_angle_beta 109.11
_cell_angle_gamma 90.00
_space_group_name_H-M_alt 'P 1 2/m 1'
_space_group_IT_number 10
loop_
_space_group_symop_operation_xyz
'x,y,z'
'-x,-y,-z'
'-x,y,-z'
'x,-y,z'
loop_
_atom_site_label
_atom_site_type_symbol
_atom_site_fract_x
_atom_site_fract_y
_atom_site_fract_z
Tb1 Tb 0.000 0.000 0.000
Zr1 Zr 0.500 0.500 0.000
U1 U 0.000 0.500 0.500
U2 U 0.500 0.000 0.500
P1 P 0.258 0.500 0.250
P2 P 0.259 0.000 0.755
```

Main lines, by angle (10° ≤ 2θ ≤ 80°):
| index | 2theta | Rel. int. |
| --- | --- | --- |
| 0 0 1 | 13.8 | 134 |
| 0 0 2 | 27.7 | 241 |
| 2 0 0 | 28.1 | 702 |
| 1 1 1 | 32.4 | 1000 |
| 1 1 -3 | 46.3 | 370 |
| 0 2 0 | 46.8 | 359 |
| 1 1 3 | 54.8 | 127 |
| 3 1 1 | 55.2 | 229 |
| 2 2 -2 | 58.1 | 126 |
| 2 2 2 | 67.9 | 120 |
| 0 2 4 | 77.0 | 114 |
| 1 3 1 | 77.6 | 167 |

=====

# 11
Diffraction record for Tc3P4. The powder diffractogram is simulated, not measured: it uses the PBE geometry in Alexandria and Cu Kα (weighted mean of Kα1 and Kα2).
Lines closer than 0.1° are merged.

Crystal structure
```
data_Tc3P4
_chemical_formula_sum 'Tc6 P8'
_cell_length_a 3.160
_cell_length_b 3.160
_cell_length_c 19.086
_cell_angle_alpha 90.00
_cell_angle_beta 90.00
_cell_angle_gamma 90.00
_space_group_name_H-M_alt 'I 4/m m m'
_space_group_IT_number 139
_space_group_name_Hall '-I 4 2'
loop_
_atom_site_label
_atom_site_type_symbol
_atom_site_fract_x
_atom_site_fract_y
_atom_site_fract_z
Tc1 Tc 0.000 0.000 0.000
Tc2 Tc 0.000 0.000 0.305
P1 P 0.000 0.000 0.149
P2 P 0.000 0.000 0.432
```

Main lines, by angle (10° ≤ 2θ ≤ 80°):
| index | 2theta | Rel. int. |
| --- | --- | --- |
| 0 0 4 | 18.6 | 111 |
| 0 0 6 | 28.1 | 261 |
| 1 0 3 | 31.6 | 793 |
| 1 1 0 | 40.4 | 919 |
| 1 0 7 | 43.9 | 1000 |
| 1 1 6 | 49.9 | 207 |
| 2 0 0 | 58.4 | 299 |
| 1 1 10 | 64.2 | 110 |
| 2 0 6 | 66.0 | 87 |
| 2 1 3 | 67.9 | 171 |
| 1 0 13 | 70.8 | 177 |
| 2 1 7 | 75.8 | 382 |

=====

# 12
Diffraction record for Tc3P5. The powder diffractogram is simulated, not measured: it uses the PBE geometry in Alexandria and Cu Kα (weighted mean of Kα1 and Kα2).
Lines closer than 0.1° are merged.

Crystal structure
```
data_Tc3P5
_chemical_formula_sum 'Tc12 P20'
_cell_length_a 7.253
_cell_length_b 11.406
_cell_length_c 6.776
_cell_angle_alpha 90.00
_cell_angle_beta 122.21
_cell_angle_gamma 90.00
_space_group_name_H-M_alt 'C 1 m 1'
_space_group_IT_number 8
loop_
_space_group_symop_operation_xyz
'x,y,z'
'x,-y,z'
'x+1/2,y+1/2,z'
'x+1/2,-y+1/2,z'
loop_
_atom_site_label
_atom_site_type_symbol
_atom_site_fract_x
_atom_site_fract_y
_atom_site_fract_z
Tc1 Tc 0.000 0.000 0.000
Tc2 Tc 0.125 0.368 0.258
Tc3 Tc 0.217 0.253 0.750
Tc4 Tc 0.259 0.000 0.528
P1 P 0.072 0.401 0.878
P2 P 0.193 0.189 0.077
P3 P 0.349 0.197 0.480
P4 P 0.378 0.000 0.266
P5 P 0.380 0.500 0.266
P6 P 0.448 0.397 0.652
```

Main lines, by angle (10° ≤ 2θ ≤ 80°):
| index | 2theta | Rel. int. |
| --- | --- | --- |
| 1 1 -2 | 27.5 | 972 |
| 1 3 0 | 27.6 | 1000 |
| 2 0 0 | 29.2 | 760 |
| 2 2 0 | 33.2 | 792 |
| 1 1 -3 | 42.1 | 587 |
| 1 5 -1 | 42.3 | 577 |
| 2 2 -3 | 43.3 | 494 |
| 2 4 -2 | 43.3 | 499 |
| 3 3 -1 | 45.1 | 546 |
| 3 1 -3 | 45.1 | 438 |
| 2 4 1 | 51.8 | 853 |
| 4 0 -3 | 53.0 | 515 |

=====

# 13
Diffraction record for Tc3P. The powder diffractogram is simulated, not measured: it uses the PBE geometry in Alexandria and Cu Kα (weighted mean of Kα1 and Kα2).
Lines closer than 0.1° are merged.

Crystal structure
```
data_Tc3P
_chemical_formula_sum 'Tc24 P8'
_cell_length_a 9.620
_cell_length_b 9.620
_cell_length_c 4.767
_cell_angle_alpha 90.00
_cell_angle_beta 90.00
_cell_angle_gamma 90.00
_space_group_name_H-M_alt 'I -4'
_space_group_IT_number 82
loop_
_space_group_symop_operation_xyz
'x,y,z'
'y,-x,-z'
'-x,-y,z'
'-y,x,-z'
'x+1/2,y+1/2,z+1/2'
'y+1/2,-x+1/2,-z+1/2'
'-x+1/2,-y+1/2,z+1/2'
'-y+1/2,x+1/2,-z+1/2'
loop_
_atom_site_label
_atom_site_type_symbol
_atom_site_fract_x
_atom_site_fract_y
_atom_site_fract_z
Tc1 Tc 0.024 0.148 0.264
Tc2 Tc 0.090 0.605 0.461
Tc3 Tc 0.178 0.718 0.985
P1 P 0.032 0.208 0.754
```

Main lines, by angle (10° ≤ 2θ ≤ 80°):
| index | 2theta | Rel. int. |
| --- | --- | --- |
| 3 0 1 | 33.7 | 251 |
| 3 2 1 | 38.7 | 1000 |
| 3 3 0 | 39.8 | 348 |
| 1 1 2 | 40.1 | 483 |
| 4 2 0 | 42.0 | 303 |
| 2 0 2 | 42.3 | 149 |
| 1 4 1 | 43.2 | 886 |
| 2 2 2 | 46.5 | 269 |
| 1 5 0 | 48.2 | 236 |
| 3 1 2 | 48.5 | 237 |
| 1 6 1 | 61.8 | 130 |
| 2 3 3 | 68.8 | 138 |